No. 1
For Hf4Fe4Ge7, a crystal structure in OQMD, relaxed with PBE gives the calculated XRD peak list in this record (Cu Kα X-rays).
Neutral-atom scattering factors, no anomalous dispersion.

Largest 10 diffraction maxima, sorted by position, 5 to 70 degrees two-theta:
| two_theta | I (rel.) |
| --- | --- |
| 9.37 | 10 |
| 29.73 | 10 |
| 34.88 | 18 |
| 37.98 | 100 |
| 38.15 | 15 |
| 40.56 | 20 |
| 41.09 | 37 |
| 56.77 | 8 |
| 64.32 | 11 |
| 64.60 | 21 |

Structural model:
Cell lengths 9.781, 9.781, 9.781 Å; angles 93.97, 93.97, 149.50 degrees
Positions (direct):
Hf  0.000  0.195  0.195
Hf  0.000  0.805  0.805
Hf  0.195  0.000  0.195
Hf  0.361  0.361  0.722
Hf  0.361  0.639  0.000
Hf  0.639  0.361  0.000
Hf  0.639  0.639  0.278
Hf  0.805  0.000  0.805
Fe  0.101  0.601  0.202
Fe  0.101  0.899  0.500
Fe  0.399  0.601  0.500
Fe  0.399  0.899  0.798
Fe  0.601  0.101  0.202
Fe  0.601  0.399  0.500
Fe  0.899  0.101  0.500
Fe  0.899  0.399  0.798
Ge  0.000  0.406  0.406
Ge  0.000  0.594  0.594
Ge  0.206  0.206  0.412
Ge  0.206  0.794  0.000
Ge  0.211  0.500  0.711
Ge  0.251  0.251  0.000
Ge  0.406  0.000  0.406
Ge  0.500  0.211  0.711
Ge  0.500  0.789  0.289
Ge  0.594  0.000  0.594
Ge  0.749  0.749  0.000
Ge  0.789  0.500  0.289
Ge  0.794  0.206  0.000
Ge  0.794  0.794  0.588

---

No. 2
For Hf2ZrFe4Ge4, a crystal structure in OQMD, relaxed with PBE gives the calculated XRD peak list in this record (Cu Kα X-rays).
Neutral-atom scattering factors, no anomalous dispersion.

Largest 10 diffraction maxima, sorted by position, 5 to 70 degrees two-theta:
| two_theta | I (rel.) |
| --- | --- |
| 14.90 | 22 |
| 26.60 | 20 |
| 36.11 | 97 |
| 37.31 | 30 |
| 38.70 | 100 |
| 41.34 | 19 |
| 42.00 | 21 |
| 45.78 | 26 |
| 46.86 | 34 |
| 67.59 | 16 |

Structural model:
Cell lengths 7.529, 7.529, 7.529 Å; angles 150.16, 127.17, 61.86 degrees
Positions (direct):
Hf  0.127  0.127  0.000
Hf  0.873  0.873  0.000
Zr  0.500  0.000  0.500
Fe  0.126  0.321  0.805
Fe  0.484  0.679  0.805
Fe  0.516  0.321  0.195
Fe  0.874  0.679  0.195
Ge  0.199  0.500  0.699
Ge  0.282  0.782  0.500
Ge  0.718  0.218  0.500
Ge  0.801  0.500  0.301

---

No. 3
For HoFe4Ge2, a crystal structure in OQMD, relaxed with PBE gives the calculated XRD peak list in this record (Cu Kα X-rays).
Neutral-atom scattering factors, no anomalous dispersion.

Largest 10 diffraction maxima, sorted by position, 5 to 70 degrees two-theta:
| two_theta | I (rel.) |
| --- | --- |
| 25.70 | 24 |
| 35.00 | 57 |
| 35.92 | 38 |
| 36.93 | 100 |
| 37.94 | 54 |
| 41.95 | 31 |
| 42.45 | 33 |
| 44.56 | 53 |
| 48.39 | 40 |
| 59.93 | 27 |

Structural model:
Cell lengths 6.627, 7.618, 4.066 Å; angles 90.00, 90.00, 90.00 degrees
Positions (direct):
Ho  0.000  0.000  0.000
Ho  0.500  0.500  0.500
Fe  0.064  0.351  0.500
Fe  0.140  0.622  0.000
Fe  0.360  0.122  0.500
Fe  0.436  0.851  0.000
Fe  0.564  0.149  0.000
Fe  0.640  0.878  0.500
Fe  0.860  0.378  0.000
Fe  0.936  0.649  0.500
Ge  0.245  0.814  0.500
Ge  0.255  0.314  0.000
Ge  0.745  0.686  0.000
Ge  0.755  0.186  0.500

---

No. 4
For Nd4InFe2Ge4, a crystal structure in OQMD, relaxed with PBE gives the calculated XRD peak list in this record (Cu Kα X-rays).
Neutral-atom scattering factors, no anomalous dispersion.

Largest 10 diffraction maxima, sorted by position, 5 to 70 degrees two-theta:
| two_theta | I (rel.) |
| --- | --- |
| 26.82 | 25 |
| 32.05 | 100 |
| 33.50 | 100 |
| 33.66 | 30 |
| 34.83 | 37 |
| 35.80 | 33 |
| 37.01 | 24 |
| 38.98 | 38 |
| 41.15 | 51 |
| 57.97 | 24 |

Structural model:
Cell lengths 8.304, 8.304, 7.269 Å; angles 106.78, 106.78, 30.63 degrees
Positions (direct):
Nd  0.090  0.090  0.381
Nd  0.153  0.153  0.942
Nd  0.847  0.847  0.058
Nd  0.910  0.910  0.619
In  0.500  0.500  0.000
Fe  0.283  0.283  0.363
Fe  0.717  0.717  0.637
Ge  0.287  0.287  0.714
Ge  0.432  0.432  0.344
Ge  0.568  0.568  0.656
Ge  0.713  0.713  0.286

---

No. 5
For KFe3Ge5, a crystal structure in OQMD, relaxed with PBE gives the calculated XRD peak list in this record (Cu Kα X-rays).
Neutral-atom scattering factors, no anomalous dispersion.

Largest 10 diffraction maxima, sorted by position, 5 to 70 degrees two-theta:
| two_theta | I (rel.) |
| --- | --- |
| 10.30 | 100 |
| 21.07 | 11 |
| 29.69 | 45 |
| 36.92 | 37 |
| 42.07 | 23 |
| 42.69 | 23 |
| 44.23 | 15 |
| 48.07 | 52 |
| 57.19 | 20 |
| 62.11 | 11 |

Structural model:
Cell lengths 4.870, 4.870, 8.591 Å; angles 90.00, 90.00, 120.00 degrees
Positions (direct):
K  0.000  0.000  0.000
Fe  0.000  0.500  0.500
Fe  0.500  0.000  0.500
Fe  0.500  0.500  0.500
Ge  0.000  0.000  0.500
Ge  0.333  0.667  0.253
Ge  0.333  0.667  0.747
Ge  0.667  0.333  0.253
Ge  0.667  0.333  0.747

---

No. 6
For K2Fe3Ge2S8, a crystal structure in OQMD, relaxed with PBE gives the calculated XRD peak list in this record (Cu Kα X-rays).
Neutral-atom scattering factors, no anomalous dispersion.

Largest 10 diffraction maxima, sorted by position, 5 to 70 degrees two-theta:
| two_theta | I (rel.) |
| --- | --- |
| 9.70 | 18 |
| 16.95 | 27 |
| 17.48 | 34 |
| 28.29 | 100 |
| 28.61 | 97 |
| 39.52 | 27 |
| 40.47 | 26 |
| 48.68 | 19 |
| 50.28 | 39 |
| 51.06 | 24 |

Structural model:
Cell lengths 6.246, 6.246, 9.131 Å; angles 91.93, 91.93, 88.79 degrees
Positions (direct):
K  0.217  0.217  0.228
K  0.783  0.783  0.772
Fe  0.288  0.712  0.500
Fe  0.289  0.711  0.000
Fe  0.758  0.242  0.500
Ge  0.286  0.242  0.739
Ge  0.758  0.714  0.261
S  0.108  0.376  0.541
S  0.121  0.748  0.258
S  0.131  0.401  0.932
S  0.252  0.879  0.742
S  0.599  0.869  0.068
S  0.624  0.892  0.459
S  0.628  0.324  0.724
S  0.676  0.372  0.276

---

No. 7
For LaNdFe2Ge4, a crystal structure in OQMD, relaxed with PBE gives the calculated XRD peak list in this record (Cu Kα X-rays).
Neutral-atom scattering factors, no anomalous dispersion.

Largest 10 diffraction maxima, sorted by position, 5 to 70 degrees two-theta:
| two_theta | I (rel.) |
| --- | --- |
| 29.56 | 18 |
| 33.49 | 100 |
| 33.83 | 55 |
| 34.83 | 31 |
| 39.79 | 40 |
| 40.81 | 32 |
| 42.37 | 41 |
| 55.96 | 18 |
| 57.85 | 16 |
| 60.30 | 25 |

Structural model:
Cell lengths 4.423, 4.267, 8.285 Å; angles 90.00, 104.51, 90.00 degrees
Positions (direct):
La  0.000  0.000  0.000
Nd  0.752  0.500  0.580
Fe  0.258  0.000  0.400
Fe  0.494  0.500  0.181
Ge  0.062  0.500  0.291
Ge  0.309  0.000  0.689
Ge  0.444  0.500  0.891
Ge  0.691  0.000  0.291

---

No. 8
For La2FeGe4Pd, a crystal structure in OQMD, relaxed with PBE gives the calculated XRD peak list in this record (Cu Kα X-rays).
Neutral-atom scattering factors, no anomalous dispersion.

Largest 10 diffraction maxima, sorted by position, 5 to 70 degrees two-theta:
| two_theta | I (rel.) |
| --- | --- |
| 29.27 | 37 |
| 32.88 | 100 |
| 33.15 | 46 |
| 37.65 | 34 |
| 41.02 | 35 |
| 41.35 | 35 |
| 47.31 | 18 |
| 53.98 | 23 |
| 56.89 | 20 |
| 59.66 | 23 |

Structural model:
Cell lengths 4.400, 4.367, 8.839 Å; angles 90.00, 104.38, 90.00 degrees
Positions (direct):
La  0.000  0.000  0.000
La  0.216  0.500  0.429
Fe  0.425  0.500  0.845
Ge  0.364  0.000  0.728
Ge  0.557  0.500  0.118
Ge  0.647  0.000  0.285
Ge  0.866  0.500  0.727
Pd  0.787  0.000  0.574

---

No. 9
For LaPrFe2Ge4, a crystal structure in OQMD, relaxed with PBE gives the calculated XRD peak list in this record (Cu Kα X-rays).
Neutral-atom scattering factors, no anomalous dispersion.

Largest 10 diffraction maxima, sorted by position, 5 to 70 degrees two-theta:
| two_theta | I (rel.) |
| --- | --- |
| 29.40 | 17 |
| 33.29 | 100 |
| 33.65 | 55 |
| 34.62 | 30 |
| 39.53 | 40 |
| 40.60 | 33 |
| 42.14 | 40 |
| 55.63 | 18 |
| 57.48 | 16 |
| 59.95 | 26 |

Structural model:
Cell lengths 4.445, 4.289, 8.337 Å; angles 90.00, 104.46, 90.00 degrees
Positions (direct):
La  0.000  0.000  0.000
Pr  0.756  0.500  0.581
Fe  0.256  0.000  0.400
Fe  0.498  0.500  0.181
Ge  0.065  0.500  0.291
Ge  0.312  0.000  0.687
Ge  0.444  0.500  0.892
Ge  0.690  0.000  0.292

---

No. 10
For LaFeSiGe, a crystal structure in OQMD, relaxed with PBE gives the calculated XRD peak list in this record (Cu Kα X-rays).
Neutral-atom scattering factors, no anomalous dispersion.

Largest 10 diffraction maxima, sorted by position, 5 to 70 degrees two-theta:
| two_theta | I (rel.) |
| --- | --- |
| 29.96 | 62 |
| 30.13 | 53 |
| 33.73 | 100 |
| 33.98 | 30 |
| 34.18 | 60 |
| 34.73 | 46 |
| 39.78 | 80 |
| 41.00 | 47 |
| 43.45 | 53 |
| 61.26 | 28 |

Structural model:
Cell lengths 4.404, 4.166, 8.351 Å; angles 90.00, 104.01, 90.00 degrees
Positions (direct):
La  0.118  0.250  0.212
La  0.882  0.750  0.788
Fe  0.379  0.250  0.602
Fe  0.621  0.750  0.398
Si  0.177  0.750  0.499
Si  0.823  0.250  0.501
Ge  0.436  0.250  0.896
Ge  0.564  0.750  0.104

---

No. 11
For LuScFeSiGe, a crystal structure in OQMD, relaxed with PBE gives the calculated XRD peak list in this record (Cu Kα X-rays).
Neutral-atom scattering factors, no anomalous dispersion.

Largest 10 diffraction maxima, sorted by position, 5 to 70 degrees two-theta:
| two_theta | I (rel.) |
| --- | --- |
| 10.37 | 50 |
| 20.16 | 62 |
| 24.28 | 39 |
| 34.93 | 42 |
| 35.27 | 77 |
| 35.75 | 87 |
| 38.60 | 100 |
| 40.98 | 33 |
| 43.34 | 46 |
| 44.68 | 52 |

Structural model:
Cell lengths 5.436, 5.436, 9.765 Å; angles 116.87, 116.87, 43.81 degrees
Positions (direct):
Lu  0.004  0.004  0.171
Lu  0.996  0.996  0.829
Sc  0.183  0.183  0.612
Sc  0.817  0.817  0.388
Fe  0.270  0.270  0.123
Fe  0.730  0.730  0.877
Si  0.348  0.348  0.933
Si  0.652  0.652  0.067
Ge  0.485  0.485  0.624
Ge  0.515  0.515  0.376

---

No. 12
For LuScFeSiGe, a crystal structure in OQMD, relaxed with PBE gives the calculated XRD peak list in this record (Cu Kα X-rays).
Neutral-atom scattering factors, no anomalous dispersion.

Largest 10 diffraction maxima, sorted by position, 5 to 70 degrees two-theta:
| two_theta | I (rel.) |
| --- | --- |
| 10.33 | 87 |
| 28.85 | 93 |
| 34.92 | 75 |
| 35.20 | 100 |
| 35.52 | 38 |
| 35.96 | 50 |
| 38.91 | 47 |
| 42.23 | 49 |
| 42.94 | 50 |
| 45.13 | 57 |

Structural model:
Cell lengths 5.447, 5.447, 9.705 Å; angles 115.98, 115.98, 43.28 degrees
Positions (direct):
Lu  0.188  0.188  0.115
Lu  0.812  0.812  0.885
Sc  0.002  0.002  0.336
Sc  0.998  0.998  0.664
Fe  0.266  0.266  0.621
Fe  0.734  0.734  0.379
Si  0.355  0.355  0.439
Si  0.645  0.645  0.561
Ge  0.488  0.488  0.134
Ge  0.512  0.512  0.866

---

No. 13
For LuFe6Sn4Ge2, a crystal structure in OQMD, relaxed with PBE gives the calculated XRD peak list in this record (Cu Kα X-rays).
Neutral-atom scattering factors, no anomalous dispersion.

Largest 10 diffraction maxima, sorted by position, 5 to 70 degrees two-theta:
| two_theta | I (rel.) |
| --- | --- |
| 34.01 | 100 |
| 36.76 | 86 |
| 39.48 | 46 |
| 40.01 | 85 |
| 41.59 | 23 |
| 44.86 | 45 |
| 46.60 | 23 |
| 60.87 | 20 |
| 62.68 | 38 |
| 64.93 | 20 |

Structural model:
Cell lengths 5.272, 5.272, 8.686 Å; angles 90.00, 90.00, 120.00 degrees
Positions (direct):
Lu  0.000  0.000  0.000
Fe  0.000  0.500  0.231
Fe  0.000  0.500  0.769
Fe  0.500  0.000  0.231
Fe  0.500  0.000  0.769
Fe  0.500  0.500  0.231
Fe  0.500  0.500  0.769
Sn  0.000  0.000  0.335
Sn  0.000  0.000  0.665
Sn  0.333  0.667  0.500
Sn  0.667  0.333  0.500
Ge  0.333  0.667  0.000
Ge  0.667  0.333  0.000